This entry pairs a crystal structure of PrZn7Co5 with its computed powder diffraction line list. Radiation: Cu Kα. Structure: a DFT-relaxed cell (GGA-PBE, Alexandria).
Intensities are scaled so that the largest is 1000.

abc: 6.6161 6.6161 6.6161
angles: 136.11 98.31 97.75
Fractional coordinates of all 13 atoms:
Pr (0.0000, 0.0000, 0.0000)
Zn (0.2090, 0.4886, 0.7204)
Zn (0.3302, 0.9817, 0.3485)
Zn (0.3377, 0.3377, 0.0000)
Zn (0.6333, 0.9817, 0.6515)
Zn (0.6522, 0.6522, 0.0000)
Zn (0.7587, 0.2587, 0.5000)
Zn (0.7682, 0.4886, 0.2796)
Co (0.2240, 0.7240, 0.5000)
Co (0.4804, 0.4827, 0.4920)
Co (0.4804, 0.9884, 0.9977)
Co (0.9907, 0.4827, 0.0023)
Co (0.9907, 0.9884, 0.5080)

Principal peaks in the range 10 to 90 degrees two-theta, low angle first:
29.3 deg, I = 173; 35.9 deg, I = 171; 36.0 deg, I = 218; 36.3 deg, I = 168; 41.5 deg, I = 263; 41.7 deg, I = 1000; 42.1 deg, I = 501; 47.2 deg, I = 331; 69.1 deg, I = 160; 75.9 deg, I = 114

This entry pairs a crystal structure of Co3Pt13 with its computed powder diffraction line list. Radiation: Cu Kα. Structure: a DFT-relaxed cell (GGA-PBE, Alexandria).
Intensities are scaled so that the largest is 1000.

abc: 5.5404 6.5924 6.5924
angles: 87.71 90.00 90.00
Fractional coordinates of all 16 atoms:
Co (0.0000, 0.0000, 0.0000)
Co (0.2336, 0.7594, 0.7594)
Co (0.7664, 0.7594, 0.7594)
Pt (0.0000, 0.4293, 0.9188)
Pt (0.0000, 0.5106, 0.5106)
Pt (0.0000, 0.9188, 0.4293)
Pt (0.2475, 0.1654, 0.6826)
Pt (0.2475, 0.6826, 0.1654)
Pt (0.2495, 0.2494, 0.2494)
Pt (0.5000, 0.4366, 0.9166)
Pt (0.5000, 0.5117, 0.5117)
Pt (0.5000, 0.9166, 0.4366)
Pt (0.5000, 0.9934, 0.9934)
Pt (0.7505, 0.2494, 0.2494)
Pt (0.7525, 0.1654, 0.6826)
Pt (0.7525, 0.6826, 0.1654)

Principal peaks in the range 10 to 90 degrees two-theta, low angle first:
37.6 deg, I = 222; 37.9 deg, I = 141; 39.5 deg, I = 393; 42.6 deg, I = 1000; 42.9 deg, I = 443; 55.6 deg, I = 140; 68.2 deg, I = 165; 73.8 deg, I = 191; 81.7 deg, I = 188; 83.5 deg, I = 131

This entry pairs a crystal structure of CoPt5 with its computed powder diffraction line list. Radiation: Cu Kα. Structure: a DFT-relaxed cell (GGA-PBE, Alexandria).
Intensities are scaled so that the largest is 1000.

abc: 2.7526 2.7526 11.8507
angles: 90.00 90.00 90.00
Fractional coordinates of all 6 atoms:
Co (0.0000, 0.0000, 0.0000)
Pt (0.0000, 0.0000, 0.3266)
Pt (0.0000, 0.0000, 0.6734)
Pt (0.5000, 0.5000, 0.1507)
Pt (0.5000, 0.5000, 0.5000)
Pt (0.5000, 0.5000, 0.8493)

Principal peaks in the range 10 to 90 degrees two-theta, low angle first:
36.0 deg, I = 68; 39.9 deg, I = 1000; 45.9 deg, I = 149; 46.7 deg, I = 335; 67.6 deg, I = 190; 68.1 deg, I = 109; 72.5 deg, I = 50; 80.9 deg, I = 94; 82.0 deg, I = 255; 86.1 deg, I = 101

This entry pairs a crystal structure of Co3Pt2 with its computed powder diffraction line list. Radiation: Cu Kα. Structure: a DFT-relaxed cell (GGA-PBE, Alexandria).
Intensities are scaled so that the largest is 1000.

abc: 6.7906 4.9999 7.7586
angles: 59.75 39.50 80.75
Fractional coordinates of all 10 atoms:
Co (0.0000, 0.0000, 0.0000)
Co (0.2500, 0.2500, 0.2500)
Co (0.4260, 0.7074, 0.3728)
Co (0.7074, 0.4260, 0.4938)
Co (0.7562, 0.8772, 0.5426)
Co (0.8772, 0.7562, 0.8240)
Pt (0.1655, 0.4941, 0.9374)
Pt (0.3126, 0.8470, 0.0845)
Pt (0.4941, 0.1655, 0.4030)
Pt (0.8470, 0.3126, 0.7559)

Principal peaks in the range 10 to 90 degrees two-theta, low angle first:
24.5 deg, I = 431; 30.2 deg, I = 367; 36.7 deg, I = 205; 40.8 deg, I = 250; 41.6 deg, I = 1000; 42.0 deg, I = 290; 43.3 deg, I = 223; 43.8 deg, I = 695; 51.2 deg, I = 364; 78.0 deg, I = 205

This entry pairs a crystal structure of Co3Pt with its computed powder diffraction line list. Radiation: Cu Kα. Structure: a DFT-relaxed cell (GGA-PBE, Alexandria).
Intensities are scaled so that the largest is 1000.

abc: 4.9115 4.9115 4.9115
angles: 148.80 63.87 125.81
Fractional coordinates of all 4 atoms:
Co (0.0000, 0.0000, 0.0000)
Co (0.4046, 0.6597, 0.7449)
Co (0.9148, 0.6597, 0.2551)
Pt (0.5044, 0.0044, 0.5000)

Principal peaks in the range 10 to 90 degrees two-theta, low angle first:
21.3 deg, I = 257; 22.6 deg, I = 433; 39.6 deg, I = 291; 40.3 deg, I = 172; 43.4 deg, I = 354; 45.4 deg, I = 1000; 46.0 deg, I = 435; 60.2 deg, I = 170; 81.1 deg, I = 174; 88.8 deg, I = 174

This entry pairs a crystal structure of Co8Pt3 with its computed powder diffraction line list. Radiation: Cu Kα. Structure: a DFT-relaxed cell (GGA-PBE, Alexandria).
Intensities are scaled so that the largest is 1000.

abc: 4.4993 4.4993 9.3930
angles: 104.28 104.28 48.14
Fractional coordinates of all 11 atoms:
Co (0.0447, 0.0447, 0.3189)
Co (0.1425, 0.1425, 0.9534)
Co (0.2273, 0.2273, 0.5887)
Co (0.3183, 0.3183, 0.2274)
Co (0.6817, 0.6817, 0.7726)
Co (0.7727, 0.7727, 0.4113)
Co (0.8575, 0.8575, 0.0466)
Co (0.9553, 0.9553, 0.6811)
Pt (0.4069, 0.4069, 0.8577)
Pt (0.5000, 0.5000, 0.5000)
Pt (0.5931, 0.5931, 0.1423)

Principal peaks in the range 10 to 90 degrees two-theta, low angle first:
26.8 deg, I = 356; 29.6 deg, I = 188; 42.6 deg, I = 1000; 42.7 deg, I = 988; 49.4 deg, I = 318; 49.7 deg, I = 316; 49.8 deg, I = 313; 72.7 deg, I = 294; 73.0 deg, I = 287; 88.3 deg, I = 356

This entry pairs a crystal structure of Co7Pt3 with its computed powder diffraction line list. Radiation: Cu Kα. Structure: a DFT-relaxed cell (GGA-PBE, Alexandria).
Intensities are scaled so that the largest is 1000.

abc: 6.8951 6.8951 5.2136
angles: 101.19 101.19 31.11
Fractional coordinates of all 10 atoms:
Co (0.0000, 0.0000, 0.0000)
Co (0.2000, 0.2000, 0.5960)
Co (0.4009, 0.4009, 0.6981)
Co (0.4040, 0.4040, 0.1969)
Co (0.5960, 0.5960, 0.8031)
Co (0.5991, 0.5991, 0.3019)
Co (0.8000, 0.8000, 0.4040)
Pt (0.0000, 0.0000, 0.5000)
Pt (0.1963, 0.1963, 0.1076)
Pt (0.8037, 0.8037, 0.8924)

Principal peaks in the range 10 to 90 degrees two-theta, low angle first:
24.2 deg, I = 158; 25.0 deg, I = 90; 34.3 deg, I = 132; 42.4 deg, I = 1000; 49.3 deg, I = 319; 49.6 deg, I = 158; 72.3 deg, I = 97; 72.5 deg, I = 147; 87.6 deg, I = 180; 88.1 deg, I = 120

This entry pairs a crystal structure of CoPtRh14 with its computed powder diffraction line list. Radiation: Cu Kα. Structure: a DFT-relaxed cell (GGA-PBE, Alexandria).
Intensities are scaled so that the largest is 1000.

abc: 8.8763 5.4230 5.4230
angles: 60.01 90.00 90.00
Fractional coordinates of all 16 atoms:
Co (0.0000, 0.0000, 0.0000)
Pt (0.0000, 0.4997, 0.4997)
Rh (0.0000, 0.0012, 0.4995)
Rh (0.0000, 0.4995, 0.0012)
Rh (0.2468, 0.8345, 0.8345)
Rh (0.2485, 0.3303, 0.8360)
Rh (0.2485, 0.8360, 0.3303)
Rh (0.2511, 0.3325, 0.3325)
Rh (0.5000, 0.1662, 0.1662)
Rh (0.5000, 0.1659, 0.6675)
Rh (0.5000, 0.6665, 0.6665)
Rh (0.5000, 0.6675, 0.1659)
Rh (0.7489, 0.3325, 0.3325)
Rh (0.7515, 0.3303, 0.8360)
Rh (0.7515, 0.8360, 0.3303)
Rh (0.7532, 0.8345, 0.8345)

Principal peaks in the range 10 to 90 degrees two-theta, low angle first:
38.3 deg, I = 71; 39.7 deg, I = 466; 40.7 deg, I = 368; 43.6 deg, I = 1000; 49.6 deg, I = 245; 66.0 deg, I = 102; 69.3 deg, I = 221; 76.0 deg, I = 187; 83.6 deg, I = 265; 85.6 deg, I = 139

This entry pairs a crystal structure of CoPt4Rh5 with its computed powder diffraction line list. Radiation: Cu Kα. Structure: a DFT-relaxed cell (GGA-PBE, Alexandria).
Intensities are scaled so that the largest is 1000.

abc: 2.7426 3.8522 13.7397
angles: 90.00 90.00 90.00
Fractional coordinates of all 10 atoms:
Co (0.0000, 0.0000, 0.0000)
Pt (0.0000, 0.0000, 0.1926)
Pt (0.0000, 0.0000, 0.3979)
Pt (0.0000, 0.0000, 0.6021)
Pt (0.0000, 0.0000, 0.8074)
Rh (0.5000, 0.5000, 0.0930)
Rh (0.5000, 0.5000, 0.2956)
Rh (0.5000, 0.5000, 0.5000)
Rh (0.5000, 0.5000, 0.7044)
Rh (0.5000, 0.5000, 0.9070)

Principal peaks in the range 10 to 90 degrees two-theta, low angle first:
40.3 deg, I = 1000; 46.8 deg, I = 322; 47.2 deg, I = 162; 68.4 deg, I = 53; 68.6 deg, I = 204; 82.4 deg, I = 114; 82.5 deg, I = 124; 83.0 deg, I = 124; 87.1 deg, I = 51; 87.3 deg, I = 56

This entry pairs a crystal structure of Co2Pt4Rh with its computed powder diffraction line list. Radiation: Cu Kα. Structure: a DFT-relaxed cell (GGA-PBE, Alexandria).
Intensities are scaled so that the largest is 1000.

abc: 6.6854 6.6854 6.6854
angles: 112.97 112.97 102.69
Fractional coordinates of all 14 atoms:
Co (0.1463, 0.6463, 0.7927)
Co (0.3537, 0.1463, 0.5000)
Co (0.6463, 0.8537, 0.5000)
Co (0.8537, 0.3537, 0.2073)
Pt (0.0078, 0.8086, 0.5000)
Pt (0.1914, 0.6914, 0.1992)
Pt (0.3086, 0.5078, 0.5000)
Pt (0.4922, 0.9922, 0.8008)
Pt (0.5078, 0.0078, 0.1992)
Pt (0.6914, 0.4922, 0.5000)
Pt (0.8086, 0.3086, 0.8008)
Pt (0.9922, 0.1914, 0.5000)
Rh (0.2500, 0.2500, 0.0000)
Rh (0.7500, 0.7500, 0.0000)

Principal peaks in the range 10 to 90 degrees two-theta, low angle first:
17.0 deg, I = 220; 21.3 deg, I = 136; 29.1 deg, I = 303; 38.6 deg, I = 519; 42.5 deg, I = 1000; 49.4 deg, I = 134; 52.6 deg, I = 143; 55.7 deg, I = 119; 61.6 deg, I = 126; 77.6 deg, I = 323

This entry pairs a crystal structure of CoPtRh3 with its computed powder diffraction line list. Radiation: Cu Kα. Structure: a DFT-relaxed cell (GGA-PBE, Alexandria).
Intensities are scaled so that the largest is 1000.

abc: 9.5917 9.5917 3.8462
angles: 90.00 90.00 156.88
Fractional coordinates of all 10 atoms:
Co (0.2497, 0.7503, 0.7500)
Co (0.7503, 0.2497, 0.2500)
Pt (0.0530, 0.9470, 0.7500)
Pt (0.9470, 0.0530, 0.2500)
Rh (0.1572, 0.8428, 0.2500)
Rh (0.3421, 0.6579, 0.2500)
Rh (0.4472, 0.5528, 0.7500)
Rh (0.5528, 0.4472, 0.2500)
Rh (0.6579, 0.3421, 0.7500)
Rh (0.8428, 0.1572, 0.7500)

Principal peaks in the range 10 to 90 degrees two-theta, low angle first:
36.0 deg, I = 103; 41.0 deg, I = 1000; 47.3 deg, I = 336; 48.4 deg, I = 141; 69.1 deg, I = 106; 70.0 deg, I = 98; 83.6 deg, I = 125; 83.6 deg, I = 124; 85.3 deg, I = 96; 88.8 deg, I = 101

This entry pairs a crystal structure of CoPt8Rh6 with its computed powder diffraction line list. Radiation: Cu Kα. Structure: a DFT-relaxed cell (GGA-PBE, Alexandria).
Intensities are scaled so that the largest is 1000.

abc: 7.2235 7.2235 5.4123
angles: 90.00 90.00 120.00
Fractional coordinates of all 15 atoms:
Co (0.0000, 0.0000, 0.0000)
Pt (0.0240, 0.6899, 0.7592)
Pt (0.3101, 0.3341, 0.7592)
Pt (0.3333, 0.6667, 0.0114)
Pt (0.3444, 0.0187, 0.5198)
Pt (0.6659, 0.9760, 0.7592)
Pt (0.6667, 0.3333, 0.2912)
Pt (0.6743, 0.6556, 0.5198)
Pt (0.9813, 0.3257, 0.5198)
Rh (0.0297, 0.7080, 0.2637)
Rh (0.2920, 0.3217, 0.2637)
Rh (0.3708, 0.0449, 0.0110)
Rh (0.6741, 0.6292, 0.0110)
Rh (0.6783, 0.9703, 0.2637)
Rh (0.9551, 0.3259, 0.0110)

Principal peaks in the range 10 to 90 degrees two-theta, low angle first:
21.7 deg, I = 162; 24.6 deg, I = 146; 29.7 deg, I = 334; 41.7 deg, I = 1000; 43.4 deg, I = 787; 44.3 deg, I = 150; 61.8 deg, I = 252; 74.9 deg, I = 125; 78.5 deg, I = 202; 85.5 deg, I = 275